Starting from a structure optimized by DFT (GGA+U), the X-ray diffraction stick pattern of ZnCoF6 was simulated for Cu Kα, 1.54184 Å.

Crystal structure
a = 4.896 Å, b = 4.896 Å, c = 9.001 Å
α = 90.00°, β = 90.00°, γ = 120.00°
Positions (direct):
1 Zn 0.333 0.667 0.250
2 Zn 0.667 0.333 0.750
3 Co 0.000 0.000 0.000
4 Co 0.000 0.000 0.500
5 F 0.013 0.310 0.116
6 F 0.013 0.703 0.384
7 F 0.297 0.310 0.384
8 F 0.297 0.987 0.116
9 F 0.310 0.013 0.616
10 F 0.310 0.297 0.884
11 F 0.690 0.703 0.116
12 F 0.690 0.987 0.384
13 F 0.703 0.013 0.884
14 F 0.703 0.690 0.616
15 F 0.987 0.297 0.616
16 F 0.987 0.690 0.884

Peak list (12 most intense, 2θ = 15–90°, low angle first)
20.9°, rel. 19, hkl 1 0 0; 23.2°, rel. 74, hkl 1 0 1; 28.9°, rel. 100, hkl 1 0 2; 36.7°, rel. 34, hkl 1 1 0; 42.0°, rel. 33, hkl 1 1 2; 43.9°, rel. 9, hkl 2 0 1; 47.4°, rel. 22, hkl 2 0 2; 55.5°, rel. 56, hkl 2 -1 4; 58.5°, rel. 10, hkl 2 1 1; 61.4°, rel. 22, hkl 3 -1 2; 66.1°, rel. 35, hkl 3 0 0; 89.5°, rel. 10, hkl 2 1 6